# 1
Starting from a DFT-relaxed cell (GGA-PBE, Alexandria), the XRD peak list of Sr7TeN6 was simulated for Cu Kα (λ = 1.5418 Å).

Peak list (10 most intense, 2θ from 10° to 80°, low angle first)
27.49 deg, I 28
28.30 deg, I 26
29.04 deg, I 27
30.46 deg, I 100
31.89 deg, I 37
32.39 deg, I 46
33.59 deg, I 21
39.35 deg, I 17
40.99 deg, I 19
49.79 deg, I 18

Structural model:
```
Sr7TeN6
1.0
-3.4712 6.3074 6.6315
3.4712 -6.3074 6.6315
3.4712 6.3074 -6.6315
Sr Te N
14 2 12
Direct
0.0474 0.2221 0.2695
0.0872 0.5050 0.8526
0.1524 0.0050 0.4177
0.2500 0.2500 0.0000
0.3476 0.7654 0.8526
0.4128 0.2654 0.4177
0.4526 0.7221 0.1747
0.5474 0.2779 0.8253
0.5872 0.7346 0.5823
0.6524 0.2346 0.1474
0.7500 0.7500 0.0000
0.8476 0.9950 0.5823
0.9128 0.4950 0.1474
0.9526 0.7779 0.7305
0.2500 0.7500 0.5000
0.7500 0.2500 0.5000
0.0756 0.8976 0.5863
0.1478 0.8949 0.0427
0.1887 0.6024 0.1780
0.3113 0.4892 0.4137
0.3522 0.3949 0.7471
0.4244 0.0108 0.8220
0.5756 0.9892 0.1780
0.6478 0.6051 0.2529
0.6887 0.5108 0.5863
0.8113 0.3976 0.8220
0.8522 0.1051 0.9573
0.9244 0.1024 0.4137
```

=====

# 2
Starting from a DFT-relaxed cell (GGA-PBE, Alexandria), the XRD peak list of Sr4ThN4 was simulated for Cu Kα (λ = 1.5418 Å).

Peak list (10 most intense, 2θ from 10° to 80°, low angle first)
10.84 deg, I 56
14.27 deg, I 38
28.22 deg, I 42
28.85 deg, I 100
28.92 deg, I 42
33.14 deg, I 86
33.55 deg, I 45
47.42 deg, I 28
47.94 deg, I 17
48.33 deg, I 29

Structural model:
```
Sr4ThN4
1.0
6.3041 -1.8976 0.0000
6.3041 1.8976 0.0000
-4.8381 0.0000 8.1605
Sr Th N
4 1 4
Direct
0.1169 0.1169 0.3784
0.2929 0.2929 0.1811
0.7071 0.7071 0.8189
0.8831 0.8831 0.6216
0.5000 0.5000 0.0000
0.0819 0.0819 0.9096
0.3032 0.3032 0.7172
0.6968 0.6968 0.2828
0.9181 0.9181 0.0904
```

=====

# 3
Starting from a DFT-relaxed cell (GGA-PBE, Alexandria), the XRD peak list of Sr3TiN3 was simulated for Cu Kα (λ = 1.5418 Å).

Peak list (10 most intense, 2θ from 10° to 80°, low angle first)
28.12 deg, I 100
30.39 deg, I 74
32.50 deg, I 56
32.99 deg, I 37
33.23 deg, I 87
34.56 deg, I 29
48.52 deg, I 34
55.13 deg, I 27
55.41 deg, I 28
60.92 deg, I 24

Structural model:
```
Sr3TiN3
1.0
8.1459 -2.9717 0.0000
8.1459 2.9717 0.0000
0.0000 0.0000 10.3826
Sr Ti N
12 4 12
Direct
0.0368 0.3297 0.8604
0.1189 0.8811 0.8390
0.1703 0.4632 0.6396
0.3297 0.0368 0.1396
0.3811 0.6189 0.3390
0.4632 0.1703 0.3604
0.5368 0.8297 0.6396
0.6189 0.3811 0.6610
0.6703 0.9632 0.8604
0.8297 0.5368 0.3604
0.8811 0.1189 0.1610
0.9632 0.6703 0.1396
0.0872 0.0872 0.5000
0.4128 0.4128 0.0000
0.5872 0.5872 0.0000
0.9128 0.9128 0.5000
0.0486 0.6479 0.3901
0.1479 0.5486 0.8901
0.1878 0.8122 0.5935
0.3122 0.6878 0.0935
0.3521 0.9514 0.3901
0.4514 0.8521 0.8901
0.5486 0.1479 0.1099
0.6479 0.0486 0.6099
0.6878 0.3122 0.9065
0.8122 0.1878 0.4065
0.8521 0.4514 0.1099
0.9514 0.3521 0.6099
```

=====

# 4
Starting from a DFT-relaxed cell (GGA-PBE, Alexandria), the XRD peak list of SrTi2N was simulated for Cu Kα (λ = 1.5418 Å).

Peak list (10 most intense, 2θ from 10° to 80°, low angle first)
27.85 deg, I 81
32.78 deg, I 100
34.29 deg, I 26
49.27 deg, I 31
52.48 deg, I 34
57.55 deg, I 34
65.12 deg, I 13
67.83 deg, I 12
68.72 deg, I 9
79.10 deg, I 15

Structural model:
```
SrTi2N
1.0
0.0000 4.5301 4.5301
4.5301 0.0000 4.5301
4.5301 4.5301 0.0000
Sr Ti N
2 4 2
Direct
0.1250 0.1250 0.1250
0.8750 0.8750 0.8750
0.0000 0.5000 0.5000
0.5000 0.0000 0.5000
0.5000 0.5000 0.0000
0.5000 0.5000 0.5000
0.3750 0.3750 0.3750
0.6250 0.6250 0.6250
```

=====

# 5
Starting from a DFT-relaxed cell (GGA-PBE, Alexandria), the XRD peak list of Sr9Tl3N2 was simulated for Cu Kα (λ = 1.5418 Å).

Peak list (10 most intense, 2θ from 10° to 80°, low angle first)
16.45 deg, I 18
23.35 deg, I 24
28.62 deg, I 33
28.72 deg, I 100
33.26 deg, I 73
47.68 deg, I 25
47.81 deg, I 26
56.56 deg, I 14
56.69 deg, I 43
59.48 deg, I 13

Structural model:
```
Sr9Tl3N2
1.0
7.6098 0.0000 0.0000
-3.8049 6.5903 0.0000
0.0000 0.0000 9.3561
Sr Tl N
9 3 2
Direct
0.0000 0.5000 0.0000
0.1756 0.3512 0.6807
0.1756 0.8244 0.6807
0.3512 0.1756 0.3193
0.5000 0.0000 0.0000
0.5000 0.5000 0.0000
0.6488 0.8244 0.6807
0.8244 0.1756 0.3193
0.8244 0.6488 0.3193
0.0000 0.0000 0.0000
0.3333 0.6667 0.3409
0.6667 0.3333 0.6591
0.3333 0.6667 0.8294
0.6667 0.3333 0.1706
```

=====

# 6
Starting from a DFT-relaxed cell (GGA-PBE, Alexandria), the XRD peak list of Sr8TlN4 was simulated for Cu Kα (λ = 1.5418 Å).

Peak list (10 most intense, 2θ from 10° to 80°, low angle first)
20.95 deg, I 13
27.11 deg, I 14
28.23 deg, I 41
29.79 deg, I 19
30.27 deg, I 100
34.09 deg, I 15
40.35 deg, I 15
49.29 deg, I 22
51.26 deg, I 22
55.02 deg, I 21

Structural model:
```
Sr8TlN4
1.0
-6.7058 6.7058 1.9662
6.7058 -6.7058 1.9662
6.7058 6.7058 -1.9662
Sr Tl N
8 1 4
Direct
0.0421 0.6674 0.7096
0.3059 0.6517 0.9576
0.3326 0.0421 0.3747
0.3483 0.3059 0.6542
0.6517 0.6941 0.3458
0.6674 0.9579 0.6253
0.6941 0.3483 0.0424
0.9579 0.3326 0.2904
0.0000 0.0000 0.0000
0.1565 0.3332 0.4897
0.3332 0.8435 0.1768
0.6668 0.1565 0.8232
0.8435 0.6668 0.5103
```